Record 1
Starting from a crystal structure in Alexandria, relaxed with PBE, the XRD peak list of AcPr2Y3 was calculated for copper Kα.

The 12 most intense peaks (2θ from 10° to 90°), sorted by position:
(hkl), 2θ (°), intensity
0 0 2, 14.5, 24
1 0 1, 26.6, 78
0 3 1, 26.8, 77
0 0 4, 29.3, 56
1 0 3, 33.9, 42
0 3 3, 34.0, 41
1 3 2, 39.5, 100
1 0 5, 45.4, 18
0 3 5, 45.5, 19
1 3 6, 59.0, 30
1 0 7, 59.4, 16
1 6 1, 60.1, 17

Crystal structure
```
data_AcPr2Y3
_chemical_formula_sum 'Ac2 Pr4 Y6'
_cell_length_a 3.489
_cell_length_b 10.394
_cell_length_c 12.184
_cell_angle_alpha 90.00
_cell_angle_beta 90.00
_cell_angle_gamma 90.00
_symmetry_space_group_name_H-M 'I m m 2'
_symmetry_Int_Tables_number 44
_symmetry_space_group_name_Hall 'I 2 -2'
loop_
_atom_site_label
_atom_site_type_symbol
_atom_site_fract_x
_atom_site_fract_y
_atom_site_fract_z
Ac1 Ac 0.000 0.000 0.000
Pr1 Pr 0.000 0.337 0.004
Y1 Y 0.000 0.169 0.257
Y2 Y 0.000 0.500 0.246
```

---

Record 2
Starting from a crystal structure in Alexandria, relaxed with PBE, the XRD peak list of Ac8Pr5Y was calculated for copper Kα.

The 12 most intense peaks (2θ from 10° to 90°), sorted by position:
(hkl), 2θ (°), intensity
-2 1 1, 22.2, 18
2 1 -2, 23.2, 25
1 -2 2, 28.6, 53
-2 1 2, 28.7, 47
1 1 1, 28.8, 64
1 1 -3, 29.1, 17
2 -2 1, 29.8, 25
3 0 -1, 30.0, 100
2 2 -3, 31.3, 29
3 -3 0, 40.9, 17
4 -2 1, 50.8, 18
4 1 0, 52.7, 19

Crystal structure
```
data_Ac8Pr5Y
_chemical_formula_sum 'Ac8 Pr5 Y1'
_cell_length_a 9.117
_cell_length_b 9.142
_cell_length_c 9.416
_cell_angle_alpha 117.11
_cell_angle_beta 116.83
_cell_angle_gamma 93.06
_symmetry_space_group_name_H-M 'P 1'
_symmetry_Int_Tables_number 1
_symmetry_space_group_name_Hall 'P 1'
loop_
_atom_site_label
_atom_site_type_symbol
_atom_site_fract_x
_atom_site_fract_y
_atom_site_fract_z
Ac1 Ac 0.000 0.000 0.000
Ac2 Ac 0.050 0.742 0.264
Ac3 Ac 0.195 0.186 0.721
Ac4 Ac 0.294 0.697 0.998
Ac5 Ac 0.380 0.431 0.264
Ac6 Ac 0.489 0.900 0.724
Ac7 Ac 0.599 0.567 0.829
Ac8 Ac 0.732 0.079 0.268
Pr1 Pr 0.124 0.419 0.449
Pr2 Pr 0.414 0.107 0.447
Pr3 Pr 0.724 0.824 0.451
Pr4 Pr 0.851 0.549 0.595
Pr5 Pr 0.873 0.295 0.829
Y1 Y 0.691 0.384 0.114
```

---

Record 3
Starting from a crystal structure in Alexandria, relaxed with PBE, the XRD peak list of AcPr10Y6 was calculated for copper Kα.

The 12 most intense peaks (2θ from 10° to 90°), sorted by position:
(hkl), 2θ (°), intensity
2 -1 1, 21.8, 12
2 0 1, 24.1, 14
3 -1 1, 30.1, 32
3 0 0, 30.9, 83
1 1 2, 31.1, 100
4 -2 2, 44.4, 29
3 2 1, 47.5, 14
4 1 2, 55.1, 23
2 -1 4, 55.4, 19
6 -1 1, 60.9, 11
7 -2 2, 73.2, 10
5 -1 4, 73.5, 9

Crystal structure
```
data_AcPr10Y6
_chemical_formula_sum 'Ac1 Pr10 Y6'
_cell_length_a 10.0209
_cell_length_b 10.0209
_cell_length_c 7.0320
_cell_angle_alpha 90.00
_cell_angle_beta 90.00
_cell_angle_gamma 120.00
_symmetry_space_group_name_H-M 'P -3 1 m'
_symmetry_Int_Tables_number 162
_symmetry_space_group_name_Hall '-P 3 2'
loop_
_atom_site_label
_atom_site_type_symbol
_atom_site_fract_x
_atom_site_fract_y
_atom_site_fract_z
Ac1 Ac 0.0000 0.0000 0.0000
Pr1 Pr 0.0000 0.2833 0.3304
Pr2 Pr 0.3333 0.6667 0.0000
Pr3 Pr 0.3333 0.6667 0.5000
Y1 Y 0.0000 0.3661 0.8210
```

---

Record 4
Starting from a crystal structure in Alexandria, relaxed with PBE, the XRD peak list of Ac2Pr2Y7 was calculated for copper Kα.

The 12 most intense peaks (2θ from 10° to 90°), sorted by position:
(hkl), 2θ (°), intensity
0 2 3, 25.1, 17
1 0 2, 26.6, 18
0 3 2, 28.6, 26
0 2 -2, 30.3, 96
1 2 1, 30.5, 100
1 2 2, 30.7, 21
1 0 3, 31.3, 88
1 3 5, 45.4, 22
2 0 1, 48.4, 19
1 4 -1, 53.4, 15
-2 3 1, 57.2, 22
2 2 -1, 58.2, 31

Crystal structure
```
data_Ac2Pr2Y7
_chemical_formula_sum 'Ac2 Pr2 Y7'
_cell_length_a 3.761
_cell_length_b 9.521
_cell_length_c 11.993
_cell_angle_alpha 68.45
_cell_angle_beta 80.98
_cell_angle_gamma 89.99
_symmetry_space_group_name_H-M 'P -1'
_symmetry_Int_Tables_number 2
_symmetry_space_group_name_Hall '-P 1'
loop_
_atom_site_label
_atom_site_type_symbol
_atom_site_fract_x
_atom_site_fract_y
_atom_site_fract_z
Ac1 Ac 0.099 0.283 0.300
Pr1 Pr 0.131 0.738 0.240
Y1 Y 0.279 0.399 0.941
Y2 Y 0.296 0.925 0.907
Y3 Y 0.454 0.095 0.592
Y4 Y 0.500 0.500 0.500
```

---

Record 5
Starting from a crystal structure in Alexandria, relaxed with PBE, the XRD peak list of AcPr12Y5 was calculated for copper Kα.

The 12 most intense peaks (2θ from 10° to 90°), sorted by position:
(hkl), 2θ (°), intensity
3 3 1, 29.6, 100
0 0 2, 34.3, 34
6 0 0, 34.4, 17
0 6 2, 49.4, 36
3 3 3, 58.6, 29
9 3 1, 58.7, 14
6 6 2, 61.5, 12
0 0 4, 72.3, 4
3 9 3, 80.1, 12
9 3 3, 80.2, 6
0 6 4, 82.5, 8
12 0 2, 82.8, 5

Crystal structure
```
data_AcPr12Y5
_chemical_formula_sum 'Ac2 Pr24 Y10'
_cell_length_a 15.639
_cell_length_b 15.689
_cell_length_c 5.224
_cell_angle_alpha 90.00
_cell_angle_beta 90.00
_cell_angle_gamma 90.00
_symmetry_space_group_name_H-M 'C m m m'
_symmetry_Int_Tables_number 65
_symmetry_space_group_name_Hall '-C 2 2'
loop_
_atom_site_label
_atom_site_type_symbol
_atom_site_fract_x
_atom_site_fract_y
_atom_site_fract_z
Ac1 Ac 0.000 0.000 0.000
Pr1 Pr 0.164 0.500 0.000
Pr2 Pr 0.165 0.334 0.500
Pr3 Pr 0.167 0.169 0.000
Pr4 Pr 0.170 0.000 0.500
Y1 Y 0.000 0.170 0.500
Y2 Y 0.000 0.333 0.000
Y3 Y 0.000 0.500 0.500
```

---

Record 6
Starting from a crystal structure in Alexandria, relaxed with PBE, the XRD peak list of AcPr12Y3 was calculated for copper Kα.

The 12 most intense peaks (2θ from 10° to 90°), sorted by position:
(hkl), 2θ (°), intensity
1 0 1, 17.4, 1
0 0 6, 25.5, 1
1 1 3, 27.2, 2
1 1 4, 29.5, 100
2 0 0, 34.2, 51
2 0 7, 46.0, 1
2 2 0, 49.2, 36
3 1 4, 58.4, 42
2 2 8, 61.3, 12
4 0 0, 72.1, 6
3 3 4, 79.8, 17
4 2 0, 82.3, 16

Crystal structure
```
data_AcPr12Y3
_chemical_formula_sum 'Ac1 Pr12 Y3'
_cell_length_a 5.242
_cell_length_b 5.242
_cell_length_c 20.942
_cell_angle_alpha 90.00
_cell_angle_beta 90.00
_cell_angle_gamma 90.00
_symmetry_space_group_name_H-M 'P 4/m m m'
_symmetry_Int_Tables_number 123
_symmetry_space_group_name_Hall '-P 4 2'
loop_
_atom_site_label
_atom_site_type_symbol
_atom_site_fract_x
_atom_site_fract_y
_atom_site_fract_z
Ac1 Ac 0.000 0.000 0.000
Pr1 Pr 0.000 0.500 0.130
Pr2 Pr 0.000 0.500 0.377
Pr3 Pr 0.500 0.500 0.000
Pr4 Pr 0.500 0.500 0.255
Pr5 Pr 0.500 0.500 0.500
Y1 Y 0.000 0.000 0.254
Y2 Y 0.000 0.000 0.500
```

---

Record 7
Starting from a crystal structure in Alexandria, relaxed with PBE, the XRD peak list of AcPr3Y8 was calculated for copper Kα.

The 12 most intense peaks (2θ from 10° to 90°), sorted by position:
(hkl), 2θ (°), intensity
1 0 1, 15.7, 11
1 2 1, 21.9, 37
0 0 4, 30.3, 14
0 4 0, 30.7, 100
2 0 2, 31.6, 33
2 2 2, 35.2, 20
0 4 4, 43.6, 14
2 4 2, 44.6, 15
3 2 3, 50.8, 16
1 6 3, 54.5, 13
2 0 6, 54.7, 12
2 4 6, 64.0, 14

Crystal structure
```
data_AcPr3Y8
_chemical_formula_sum 'Ac2 Pr6 Y16'
_cell_length_a 6.455
_cell_length_b 11.681
_cell_length_c 11.794
_cell_angle_alpha 90.00
_cell_angle_beta 90.00
_cell_angle_gamma 90.00
_symmetry_space_group_name_H-M 'I m m m'
_symmetry_Int_Tables_number 71
_symmetry_space_group_name_Hall '-I 2 2'
loop_
_atom_site_label
_atom_site_type_symbol
_atom_site_fract_x
_atom_site_fract_y
_atom_site_fract_z
Ac1 Ac 0.000 0.000 0.000
Pr1 Pr 0.000 0.244 0.500
Pr2 Pr 0.000 0.500 0.000
Y1 Y 0.000 0.251 0.175
Y2 Y 0.247 0.000 0.258
```

---

Record 8
Starting from a crystal structure in Alexandria, relaxed with PBE, the XRD peak list of Ac2Pr4Y5 was calculated for copper Kα.

The 12 most intense peaks (2θ from 10° to 90°), sorted by position:
(hkl), 2θ (°), intensity
1 1 2, 29.5, 100
6 0 1, 29.7, 98
5 1 -1, 34.3, 100
0 2 0, 49.0, 12
7 1 3, 49.3, 47
10 0 -2, 49.5, 13
6 2 1, 58.4, 29
3 1 6, 58.6, 14
11 1 0, 58.7, 42
2 2 4, 61.2, 12
12 0 2, 61.6, 12
8 2 5, 79.9, 11

Crystal structure
```
data_Ac2Pr4Y5
_chemical_formula_sum 'Ac4 Pr8 Y10'
_cell_length_a 19.156
_cell_length_b 3.716
_cell_length_c 11.067
_cell_angle_alpha 90.00
_cell_angle_beta 93.56
_cell_angle_gamma 90.00
_symmetry_space_group_name_H-M 'C 1 2/m 1'
_symmetry_Int_Tables_number 12
_symmetry_space_group_name_Hall '-C 2y'
loop_
_atom_site_label
_atom_site_type_symbol
_atom_site_fract_x
_atom_site_fract_y
_atom_site_fract_z
Ac1 Ac 0.093 0.000 0.452
Pr1 Pr 0.047 0.500 0.735
Pr2 Pr 0.182 0.000 0.911
Y1 Y 0.000 0.000 0.000
Y2 Y 0.137 0.500 0.174
Y3 Y 0.230 0.500 0.641
```